This entry pairs a crystal structure of LiTiVO4 with its theoretical XRD peak list. Radiation: Cu Kα (λ = 1.5418 Å). Structure: a cell relaxed with PBE+U.
No peak broadening, texture or thermal motion is included.

Atomic structure:
```
LiTiVO4
1.0
5.2857 0.0000 0.0000
-0.1819 6.0073 0.0000
-2.5715 -1.5682 7.3061
Li Ti V O
3 3 3 12
Cartesian
0.0000 0.0000 0.0000
-1.7735 0.0428 4.9464
4.2659 4.3794 2.3980
0.6468 4.3921 4.9166
1.7493 0.0036 2.4860
2.7678 1.5819 0.1048
-0.2260 2.9332 7.2696
1.6334 2.9910 2.4403
0.8698 1.4728 4.9025
0.8265 4.5642 1.3163
-0.8526 4.5437 6.1197
0.0913 3.0381 3.7173
0.1943 -0.1002 3.7204
-0.6648 1.3057 6.1761
1.1335 1.3959 1.2366
1.4287 3.0617 6.0483
2.3807 1.4280 3.6101
3.3382 -0.0265 1.1403
3.2291 3.0563 1.1829
2.3291 4.5733 3.5796
1.6432 -0.1254 6.0780
```

Principal peaks in the range 2θ = 15–90°, by angle:
2θ/deg	I (rel.)
17.83	100.0
34.95	10.4
35.14	10.1
35.25	11.3
41.97	21.2
42.29	20.6
43.07	19.5
55.16	5.0
61.77	5.6
62.06	11.3



This entry pairs a crystal structure of Li4Ti3V3W2O16 with its theoretical XRD peak list. Radiation: Cu Kα (λ = 1.5418 Å). Structure: a cell relaxed with PBE+U.
No peak broadening, texture or thermal motion is included.

Atomic structure:
```
Li4Ti3V3W2O16
1.0
5.2120 -2.9977 0.0000
5.2120 2.9977 0.0000
-0.2655 0.0000 9.8727
Li Ti V W O
4 3 3 2 16
Cartesian
0.0000 0.0000 0.0000
-0.0662 0.0000 4.9936
3.3599 0.0000 5.8775
6.9620 0.0000 0.9181
4.2518 1.5062 2.7636
4.2518 -1.5062 2.7636
8.4371 0.0000 7.6428
1.7662 0.0000 2.7861
5.8808 1.3979 7.7309
5.8808 -1.3979 7.7309
3.4688 0.0000 0.0499
6.7804 0.0000 5.0028
2.7584 1.3606 1.4789
4.1002 1.4969 8.8778
1.5602 0.0000 8.9368
5.9461 1.5130 3.8978
3.5668 0.0000 3.8352
4.9664 0.0000 1.4961
2.7584 -1.3606 1.4789
5.2163 0.0000 6.4148
7.6086 1.3075 6.4348
4.1002 -1.4969 8.8778
6.8860 0.0000 8.8189
5.9461 -1.5130 3.8978
8.6506 0.0000 3.8087
7.6086 -1.3075 6.4348
10.1938 0.0000 6.8316
10.3476 0.0000 1.8355
```

Principal peaks in the range 2θ = 15–90°, by angle:
2θ/deg	I (rel.)
17.05	23.5
19.05	35.5
19.19	63.4
19.43	100.0
29.75	28.1
31.99	23.1
32.40	22.0
34.58	31.3
35.02	29.8
35.34	36.3



This entry pairs a crystal structure of Li2UW2O10 with its theoretical XRD peak list. Radiation: Cu Kα (λ = 1.5418 Å). Structure: a cell relaxed with PBE+U.
No peak broadening, texture or thermal motion is included.

Atomic structure:
```
Li2UW2O10
1.0
7.6324 0.0000 0.0000
0.0000 7.8112 0.0000
0.0000 0.0000 12.9489
Li U W O
8 4 8 40
Cartesian
0.0000 0.0000 3.0865
0.0000 3.9056 9.6015
1.9030 2.4166 9.6328
1.9132 6.3222 3.3162
3.8162 0.0000 3.3474
3.8162 3.9056 9.8624
5.7192 1.4890 3.3162
5.7294 5.3947 9.6328
0.0000 0.0000 9.9704
0.0000 3.9056 3.4928
3.8162 0.0000 9.4561
3.8162 3.9056 2.9786
1.9028 4.0428 6.5781
1.9105 3.7265 12.8515
1.9057 7.6321 0.0974
1.9134 0.1372 6.3708
5.7190 7.6741 6.3708
5.7267 0.1791 0.0974
5.7219 4.0847 12.8515
5.7296 3.7684 6.5781
0.0000 0.0000 6.1975
0.0000 0.0000 12.4628
0.0000 3.9056 5.9762
0.0000 3.9056 12.6769
0.0685 5.7744 3.5333
0.0727 1.8685 9.9973
1.5246 3.7975 8.3311
1.5351 7.6113 1.8673
1.6720 0.0782 8.4342
1.6766 3.9184 1.9663
1.8808 1.8729 0.0900
1.8847 5.8898 6.5637
1.9315 1.9841 6.3852
1.9354 5.7785 12.8590
2.1396 0.0128 10.9826
2.1443 3.9838 4.5148
2.2811 3.7057 11.0817
2.2916 7.7031 4.6179
3.7436 5.7741 2.9516
3.7477 1.8688 9.4156
3.8162 0.0000 0.2721
3.8162 0.0000 6.9728
3.8162 3.9056 0.4862
3.8162 3.9056 6.7515
3.8847 5.9424 9.4156
3.8889 2.0371 2.9516
5.3408 0.1082 4.6179
5.3513 4.1056 11.0817
5.4882 3.8274 4.5148
5.4928 7.7984 10.9826
5.6971 2.0327 12.8590
5.7009 5.8271 6.3852
5.7478 1.9215 6.5637
5.7516 5.9383 0.0900
5.9559 3.8928 1.9663
5.9605 7.7330 8.4342
6.0974 0.2000 1.8673
6.1079 4.0138 8.3311
7.5598 5.9427 9.9973
7.5639 2.0368 3.5333
```

Principal peaks in the range 2θ = 15–90°, by angle:
2θ/deg	I (rel.)
22.77	80.5
23.55	26.2
26.90	32.4
27.12	100.0
27.55	47.6
35.70	59.6
36.04	27.5
48.46	20.2
54.18	20.3
54.67	25.8